Structure and calculated powder diffractogram of Rb3SrMo2O8 (DFT lattice parameters and positions (PBE+U); a wavelength of 1.5418 Å).
Lines closer than 0.1° are merged.

Peak list (10 most intense, 2θ from 10° to 90°, by angle)
2θ/deg	I/Imax
27.2	78
27.9	100
39.3	43
48.9	29
49.3	20
53.4	11
56.1	9
57.6	18
64.8	14
79.2	10

Structure:
abc: 6.4030 6.4030 8.1294
angles: 90.00 90.00 120.00
Space group P-3m1 (No. 164)
One atom of each set of equivalent atoms:
Rb (0.0000, 0.0000, 0.0000) x1
Rb (0.3333, 0.6667, 0.6758) x2
Sr (0.0000, 0.0000, 0.5000) x1
Mo (0.3333, 0.6667, 0.2282) x2
O (0.1785, 0.3571, 0.3118) x6
O (0.3333, 0.6667, 0.0078) x2